Entry 1:
Structure and computed powder X-ray diffraction pattern of MgMn6O10F2 (the PBE+U geometry in the Materials Project; a wavelength of 1.5418 Å).
Lines closer than 0.1° are merged.

The 6 most intense peaks (2θ from 15° to 90°), in order of rising 2θ:
| index | 2theta | Rel. int. |
| --- | --- | --- |
| 0 0 3 | 22.88 | 100.0 |
| 2 0 -1 | 27.88 | 77.9 |
| 0 0 4 | 30.67 | 27.9 |
| 1 1 1 | 35.27 | 51.7 |
| 1 1 -2 | 35.49 | 34.8 |
| 3 1 -3 | 54.56 | 31.7 |

Structural model:
Cell lengths 6.402, 2.957, 12.025 Å; angles 90.00, 104.12, 90.00 degrees
Atoms (fractional coordinates):
Mg1 0.000 0.000 0.000
Mn1 0.000 0.575 0.500
Mn2 0.136 0.060 0.811
Mn3 0.384 0.551 0.219
Mn4 0.500 0.070 0.500
Mn5 0.616 0.551 0.781
Mn6 0.864 0.060 0.189
O1 0.165 0.501 0.929
O2 0.174 0.047 0.177
O3 0.200 0.073 0.510
O4 0.433 0.057 0.800
O5 0.439 0.567 0.392
O6 0.561 0.567 0.608
O7 0.567 0.057 0.200
O8 0.800 0.073 0.490
O9 0.826 0.047 0.823
O10 0.835 0.501 0.071
F1 0.069 0.599 0.692
F2 0.931 0.599 0.308

=====

Entry 2:
Structure and computed powder X-ray diffraction pattern of MgMn6O10F2 (the PBE+U geometry in the Materials Project; a wavelength of 1.5418 Å).
Lines closer than 0.1° are merged.

The 6 most intense peaks (2θ from 15° to 90°), in order of rising 2θ:
| index | 2theta | Rel. int. |
| --- | --- | --- |
| 1 1 1 | 23.42 | 100.0 |
| -1 1 1 | 28.02 | 76.8 |
| 0 2 -1 | 35.79 | 43.4 |
| 2 0 0 | 35.89 | 26.2 |
| 0 0 3 | 36.34 | 21.8 |
| 0 2 -4 | 63.67 | 24.5 |

Structural model:
Cell lengths 5.083, 5.707, 7.514 Å; angles 81.90, 84.44, 80.87 degrees
Atoms (fractional coordinates):
Mg1 0.000 0.000 0.000
Mn1 0.000 0.000 0.500
Mn2 0.065 0.384 0.192
Mn3 0.497 0.161 0.837
Mn4 0.500 0.500 0.500
Mn5 0.503 0.839 0.163
Mn6 0.935 0.616 0.808
O1 0.147 0.326 0.929
O2 0.150 0.674 0.586
O3 0.163 0.030 0.248
O4 0.369 0.555 0.263
O5 0.373 0.862 0.938
O6 0.627 0.138 0.062
O7 0.631 0.445 0.737
O8 0.837 0.970 0.752
O9 0.850 0.326 0.414
O10 0.853 0.674 0.071
F1 0.341 0.162 0.607
F2 0.659 0.838 0.393

=====

Entry 3:
Structure and computed powder X-ray diffraction pattern of MgMn5O9F (the PBE+U geometry in the Materials Project; a wavelength of 1.5418 Å).
Lines closer than 0.1° are merged.

The 6 most intense peaks (2θ from 15° to 90°), in order of rising 2θ:
| index | 2theta | Rel. int. |
| --- | --- | --- |
| 0 1 0 | 17.85 | 100.0 |
| 1 0 -2 | 34.07 | 11.9 |
| 1 1 3 | 34.66 | 10.7 |
| 1 1 -2 | 41.02 | 22.7 |
| 1 2 3 | 41.89 | 20.7 |
| 2 -1 1 | 43.88 | 19.4 |

Structural model:
Cell lengths 5.112, 5.289, 8.087 Å; angles 70.99, 72.44, 78.51 degrees
Atoms (fractional coordinates):
Mg1 0.000 0.000 0.000
Mn1 0.098 0.475 0.290
Mn2 0.294 0.499 0.891
Mn3 0.476 0.485 0.491
Mn4 0.694 0.520 0.087
Mn5 0.879 0.507 0.698
O1 0.047 0.294 0.118
O2 0.117 0.657 0.462
O3 0.200 0.284 0.772
O4 0.354 0.716 0.029
O5 0.465 0.316 0.312
O6 0.519 0.668 0.656
O7 0.655 0.307 0.938
O8 0.774 0.711 0.227
O9 0.950 0.725 0.874
F1 0.813 0.251 0.534

=====

Entry 4:
Structure and computed powder X-ray diffraction pattern of MgMn6O10F2 (the PBE+U geometry in the Materials Project; a wavelength of 1.5418 Å).
Lines closer than 0.1° are merged.

The 6 most intense peaks (2θ from 15° to 90°), in order of rising 2θ:
| index | 2theta | Rel. int. |
| --- | --- | --- |
| -1 1 1 | 23.71 | 100.0 |
| 1 1 -1 | 27.04 | 74.6 |
| 1 0 2 | 35.41 | 23.0 |
| 1 -2 2 | 35.48 | 36.4 |
| 0 1 -3 | 35.68 | 17.5 |
| 1 2 2 | 63.72 | 21.0 |

Structural model:
Cell lengths 5.686, 5.873, 7.667 Å; angles 108.07, 99.23, 110.38 degrees
Atoms (fractional coordinates):
Mg1 0.000 0.000 0.000
Mn1 0.016 0.999 0.483
Mn2 0.307 0.541 0.368
Mn3 0.366 0.975 0.823
Mn4 0.627 0.981 0.173
Mn5 0.678 0.426 0.634
Mn6 0.973 0.518 0.023
O1 0.024 0.673 0.829
O2 0.244 0.832 0.548
O3 0.314 0.314 0.501
O4 0.342 0.677 0.169
O5 0.401 0.126 0.093
O6 0.589 0.834 0.896
O7 0.636 0.289 0.832
O8 0.762 0.142 0.448
O9 0.889 0.830 0.196
O10 0.953 0.302 0.173
F1 0.093 0.135 0.793
F2 0.707 0.671 0.492

=====

Entry 5:
Structure and computed powder X-ray diffraction pattern of MgMn6O10F2 (the PBE+U geometry in the Materials Project; a wavelength of 1.5418 Å).
Lines closer than 0.1° are merged.

The 6 most intense peaks (2θ from 15° to 90°), in order of rising 2θ:
| index | 2theta | Rel. int. |
| --- | --- | --- |
| 1 1 0 | 22.98 | 100.0 |
| 1 -1 0 | 27.69 | 65.2 |
| 0 1 3 | 35.37 | 38.5 |
| 0 1 -3 | 35.75 | 16.9 |
| 2 1 3 | 48.62 | 15.5 |
| 2 -1 3 | 54.09 | 29.6 |

Structural model:
Cell lengths 4.998, 5.076, 8.780 Å; angles 89.11, 88.56, 79.53 degrees
Atoms (fractional coordinates):
Mg1 0.000 0.000 0.000
Mn1 0.048 0.499 0.165
Mn2 0.052 0.507 0.811
Mn3 0.498 0.961 0.652
Mn4 0.505 0.953 0.995
Mn5 0.510 0.964 0.319
Mn6 0.961 0.423 0.490
O1 0.202 0.268 0.323
O2 0.208 0.281 0.651
O3 0.217 0.284 0.989
O4 0.305 0.810 0.146
O5 0.310 0.824 0.836
O6 0.676 0.106 0.481
O7 0.683 0.105 0.151
O8 0.782 0.632 0.319
O9 0.790 0.639 0.659
O10 0.832 0.673 0.989
F1 0.309 0.795 0.470
F2 0.719 0.134 0.844

=====

Entry 6:
Structure and computed powder X-ray diffraction pattern of MgMn2O2F2 (the PBE+U geometry in the Materials Project; a wavelength of 1.5418 Å).
Lines closer than 0.1° are merged.

The 6 most intense peaks (2θ from 15° to 90°), in order of rising 2θ:
| index | 2theta | Rel. int. |
| --- | --- | --- |
| 0 1 1 | 26.06 | 100.0 |
| 1 0 1 | 31.84 | 89.0 |
| 1 0 -2 | 32.20 | 99.8 |
| 0 1 2 | 34.36 | 68.8 |
| 0 2 0 | 46.35 | 59.3 |
| 2 0 -1 | 52.44 | 41.2 |

Structural model:
Cell lengths 3.490, 3.918, 7.196 Å; angles 90.00, 103.38, 90.00 degrees
Atoms (fractional coordinates):
Mg1 0.000 0.000 0.000
Mn1 0.250 0.000 0.529
Mn2 0.618 0.500 0.251
O1 0.205 0.500 0.435
O2 0.572 0.000 0.148
F1 0.008 0.500 0.993
F2 0.835 0.000 0.712

=====

Entry 7:
Structure and computed powder X-ray diffraction pattern of MgMn6O10F2 (the PBE+U geometry in the Materials Project; a wavelength of 1.5418 Å).
Lines closer than 0.1° are merged.

The 6 most intense peaks (2θ from 15° to 90°), in order of rising 2θ:
| index | 2theta | Rel. int. |
| --- | --- | --- |
| 1 1 1 | 23.32 | 100.0 |
| -1 1 1 | 27.74 | 65.2 |
| 1 1 -2 | 34.91 | 22.9 |
| 0 2 -1 | 35.39 | 35.2 |
| 1 -1 2 | 35.61 | 19.4 |
| 1 3 0 | 49.14 | 18.0 |

Structural model:
Cell lengths 5.149, 5.750, 7.509 Å; angles 82.40, 84.92, 80.95 degrees
Atoms (fractional coordinates):
Mg1 0.000 0.000 0.000
Mn1 0.010 0.608 0.825
Mn2 0.018 0.965 0.520
Mn3 0.042 0.343 0.202
Mn4 0.488 0.109 0.826
Mn5 0.519 0.807 0.191
Mn6 0.543 0.485 0.526
O1 0.161 0.914 0.749
O2 0.171 0.235 0.427
O3 0.313 0.758 0.416
O4 0.323 0.101 0.079
O5 0.339 0.434 0.754
O6 0.696 0.157 0.604
O7 0.710 0.510 0.288
O8 0.712 0.836 0.947
O9 0.851 0.675 0.614
O10 0.888 0.352 0.964
F1 0.188 0.655 0.067
F2 0.855 0.991 0.270

=====

Entry 8:
Structure and computed powder X-ray diffraction pattern of MgMn6O10F2 (the PBE+U geometry in the Materials Project; a wavelength of 1.5418 Å).
Lines closer than 0.1° are merged.

The 6 most intense peaks (2θ from 15° to 90°), in order of rising 2θ:
| index | 2theta | Rel. int. |
| --- | --- | --- |
| 1 1 1 | 24.64 | 100.0 |
| -1 1 1 | 27.40 | 84.3 |
| 1 1 -2 | 34.76 | 29.8 |
| 0 2 -1 | 35.20 | 29.7 |
| 1 -1 2 | 35.43 | 24.4 |
| 2 2 2 | 50.47 | 30.9 |

Structural model:
Cell lengths 5.000, 5.670, 7.519 Å; angles 84.23, 87.30, 84.25 degrees
Atoms (fractional coordinates):
Mg1 0.000 0.000 0.000
Mn1 0.002 0.387 0.167
Mn2 0.500 0.862 0.170
Mn3 0.512 0.197 0.826
Mn4 0.521 0.528 0.500
Mn5 0.967 0.625 0.813
Mn6 0.982 0.002 0.487
O1 0.143 0.654 0.038
O2 0.308 0.161 0.060
O3 0.313 0.475 0.718
O4 0.319 0.830 0.403
O5 0.669 0.883 0.928
O6 0.692 0.218 0.589
O7 0.697 0.569 0.263
O8 0.795 0.692 0.593
O9 0.826 0.349 0.945
O10 0.858 0.083 0.252
F1 0.137 0.968 0.737
F2 0.210 0.356 0.387